The following is a calculated XRD peak list of NiW14. It was derived from a DFT-relaxed cell (GGA-PBE, OQMD), using Cu Kα, 1.54184 Å.

Crystal structure
Cell lengths 9.721, 9.721, 5.081 Å; angles 90.00, 90.00, 90.00 degrees
Space group P4_2/mnm (No. 136)
Inequivalent atoms, fractional coordinates:
Ni 0.000 0.000 0.000
W 0.037 0.372 0.500
W 0.065 0.255 0.000
W 0.104 0.104 0.500
W 0.182 0.818 0.251

Top 10 peaks for 10 to 90 degrees two-theta, in order of falling intensity:
2θ (°)	intensity	hkl
42.26	100	4 1 1
38.17	94	4 1 0
41.16	82	2 1 2
43.32	60	3 3 1
39.32	35	3 3 0
68.18	31	5 5 0
40.05	30	2 0 2
87.18	23	4 1 4
70.52	22	7 2 0
67.16	22	5 3 2



The following is a calculated XRD peak list of Ni11W2. It was derived from a DFT-relaxed cell (GGA-PBE, OQMD), using Cu Kα, 1.54184 Å.

Crystal structure
Cell lengths 4.6223, 4.6223, 24.8636 Å; angles 90.00, 90.00, 120.00 degrees
Space group R-3m (No. 166, hexagonal axes)
Inequivalent atoms, fractional coordinates:
Ni 0.0000 0.0000 0.0000
Ni 0.0000 0.0000 0.1661
Ni 0.0000 0.0000 0.3471
Ni 0.0029 0.5014 0.4098
W 0.0000 0.0000 0.4496

Top 10 peaks for 10 to 90 degrees two-theta, in order of falling intensity:
2θ (°)	intensity	hkl
38.97	100	1 1 0
42.82	89	1 0 10
46.12	84	0 1 11
45.46	79	0 2 1
51.56	52	1 1 9
44.91	42	1 1 6
23.35	42	0 1 2
22.50	41	1 0 1
49.06	39	2 0 5
83.69	37	2 2 0



The following is a calculated XRD peak list of Ni11W4. It was derived from a DFT-relaxed cell (GGA-PBE, OQMD), using Cu Kα, 1.54184 Å.

Crystal structure
Cell lengths 8.990, 8.990, 4.615 Å; angles 90.00, 90.00, 90.00 degrees
Space group P4_2/mnm (No. 136)
Inequivalent atoms, fractional coordinates:
Ni 0.000 0.000 0.000
Ni 0.032 0.368 0.500
Ni 0.101 0.101 0.500
Ni 0.175 0.825 0.251
W 0.064 0.265 0.000

Top 10 peaks for 10 to 90 degrees two-theta, in order of falling intensity:
2θ (°)	intensity	hkl
46.04	100	4 1 1
41.41	91	4 1 0
47.20	82	3 3 1
45.31	64	2 1 2
21.64	40	1 0 1
39.03	40	0 0 2
29.46	39	2 1 1
75.67	38	6 0 2
48.77	28	2 2 2
23.83	27	1 1 1



The following is a calculated XRD peak list of Ni4W. It was derived from a DFT-relaxed cell (GGA-PBE, OQMD), using Cu Kα, 1.54184 Å.

Crystal structure
Cell lengths 8.804, 8.804, 4.608 Å; angles 90.00, 90.00, 90.00 degrees
Space group P4_2/mnm (No. 136)
Inequivalent atoms, fractional coordinates:
Ni 0.038 0.372 0.000
Ni 0.069 0.270 0.500
Ni 0.182 0.818 0.247
W 0.000 0.000 0.500
W 0.113 0.113 0.000

Top 10 peaks for 10 to 90 degrees two-theta, in order of falling intensity:
2θ (°)	intensity	hkl
46.90	100	4 1 1
45.62	53	2 1 2
14.23	47	1 1 0
42.33	36	4 1 0
48.09	32	3 3 1
43.62	28	3 3 0
39.09	26	0 0 2
44.38	25	2 0 2
76.38	23	4 1 3
75.25	17	5 3 2